# 1
BaMgAs2Pd5: calculated PXRD pattern (Cu Ka), based on DFT lattice parameters and positions (PBE).
Intensities are scaled so that the largest is 1000.

Structural model:
```
data_BaMgAs2Pd5
_chemical_formula_sum 'Ba1 Mg1 As2 Pd5'
_space_group_name_H-M_alt 'P 4/m m m'
_space_group_IT_number 123
_space_group_name_Hall '-P 4 2'
_cell_length_a 4.593
_cell_length_b 4.593
_cell_length_c 9.322
_cell_angle_alpha 90.00
_cell_angle_beta 90.00
_cell_angle_gamma 90.00
loop_
_atom_site_label
_atom_site_type_symbol
_atom_site_fract_x
_atom_site_fract_y
_atom_site_fract_z
_atom_site_occupancy
Ba1 Ba 0.000 0.000 0.000 1
Mg1 Mg 0.000 0.000 0.500 1
As1 As 0.500 0.500 0.258 1
Pd1 Pd 0.000 0.500 0.346 1
Pd2 Pd 0.500 0.500 0.000 1
```

Main lines, by intensity (10° ≤ 2θ ≤ 90°):
2θ (°), I (rel.)
29.1, 1000
39.2, 790
48.0, 659
28.7, 547
49.3, 480
77.4, 437
56.7, 265
27.3, 238

=====

# 2
MnZn5I12: calculated PXRD pattern (Cu Ka), based on DFT lattice parameters and positions (PBE).
Intensities are scaled so that the largest is 1000.

Structural model:
```
data_MnZn5I12
_chemical_formula_sum 'Mn1 Zn5 I12'
_space_group_name_H-M_alt 'P -1'
_space_group_IT_number 2
_space_group_name_Hall '-P 1'
_cell_length_a 4.097
_cell_length_b 10.886
_cell_length_c 15.404
_cell_angle_alpha 93.85
_cell_angle_beta 97.41
_cell_angle_gamma 100.83
loop_
_atom_site_label
_atom_site_type_symbol
_atom_site_fract_x
_atom_site_fract_y
_atom_site_fract_z
_atom_site_occupancy
Mn1 Mn 0.000 0.000 0.000 1
Zn1 Zn 0.167 0.333 0.500 1
Zn2 Zn 0.331 0.665 0.999 1
Zn3 Zn 0.500 0.000 0.500 1
I1 I 0.005 0.904 0.607 1
I2 I 0.163 0.429 0.893 1
I3 I 0.173 0.239 0.108 1
I4 I 0.329 0.763 0.393 1
I5 I 0.338 0.571 0.607 1
I6 I 0.496 0.098 0.891 1
```

Main lines, by intensity (10° ≤ 2θ ≤ 90°):
2θ (°), I (rel.)
11.6, 1000
28.7, 667
28.6, 633
31.8, 602
23.4, 323
26.7, 308
44.6, 305
27.0, 296

=====

# 3
Zr7Tc6: calculated PXRD pattern (Cu Ka), based on DFT lattice parameters and positions (PBE).
Intensities are scaled so that the largest is 1000.

Structural model:
```
data_Zr7Tc6
_chemical_formula_sum 'Zr21 Tc18'
_space_group_name_H-M_alt 'R -3 m'
_space_group_IT_number 166
_space_group_name_Hall '-R 3 2"'
_cell_length_a 5.7883
_cell_length_b 5.7883
_cell_length_c 26.4235
_cell_angle_alpha 90.00
_cell_angle_beta 90.00
_cell_angle_gamma 120.00
loop_
_atom_site_label
_atom_site_type_symbol
_atom_site_fract_x
_atom_site_fract_y
_atom_site_fract_z
_atom_site_occupancy
Zr1 Zr 0.0000 0.0000 0.0000 1
Zr2 Zr 0.0057 0.5028 0.4184 1
Tc1 Tc 0.0000 0.0000 0.1671 1
Tc2 Tc 0.0000 0.0000 0.3570 1
Tc3 Tc 0.0000 0.0000 0.4459 1
```

Main lines, by intensity (10° ≤ 2θ ≤ 90°):
2θ (°), I (rel.)
37.2, 1000
39.8, 832
30.9, 819
36.0, 763
41.7, 640
64.4, 567
43.3, 492
62.4, 402

=====

# 4
PrCd6Au: calculated PXRD pattern (Cu Ka), based on DFT lattice parameters and positions (PBE).
Intensities are scaled so that the largest is 1000.

Structural model:
```
data_PrCd6Au
_chemical_formula_sum 'Pr1 Cd6 Au1'
_space_group_name_H-M_alt 'P 1 m 1'
_space_group_IT_number 6
_space_group_name_Hall 'P -2y'
_cell_length_a 5.722
_cell_length_b 4.907
_cell_length_c 6.863
_cell_angle_alpha 90.00
_cell_angle_beta 101.06
_cell_angle_gamma 90.00
loop_
_atom_site_label
_atom_site_type_symbol
_atom_site_fract_x
_atom_site_fract_y
_atom_site_fract_z
_atom_site_occupancy
Pr1 Pr 0.000 0.000 0.000 1
Cd1 Cd 0.034 0.000 0.505 1
Cd2 Cd 0.196 0.500 0.301 1
Cd3 Cd 0.219 0.500 0.777 1
Cd4 Cd 0.522 0.000 0.354 1
Cd5 Cd 0.646 0.500 0.122 1
Cd6 Cd 0.703 0.500 0.656 1
Au1 Au 0.478 0.000 0.806 1
```

Main lines, by intensity (10° ≤ 2θ ≤ 90°):
2θ (°), I (rel.)
36.9, 1000
33.7, 986
36.6, 653
32.2, 385
33.6, 370
38.4, 349
50.5, 243
42.0, 180